No. 1
Li3Ti2V3O10: calculated X-ray diffraction stick pattern (a wavelength of 1.5418 Å), based on a DFT-relaxed cell (GGA+U, Alexandria).
Intensities are scaled so that the largest is 100.

Principal peaks in the range 10° ≤ 2θ ≤ 80°, by intensity:
- d 4.899, 18.11 deg, intensity 100
- d 7.297, 12.13 deg, intensity 68
- d 2.252, 40.03 deg, intensity 65
- d 2.075, 43.61 deg, intensity 53
- d 2.053, 44.11 deg, intensity 50
- d 3.330, 26.77 deg, intensity 40
- d 4.950, 17.92 deg, intensity 39
- d 1.500, 61.84 deg, intensity 28
- d 2.953, 30.27 deg, intensity 23
- d 4.007, 22.18 deg, intensity 23

Atomic structure:
```
Li3Ti2V3O10
1.0
5.1757 0.0000 0.0000
1.1647 5.0869 0.0000
2.2412 1.7306 7.2967
Li Ti V O
3 2 3 10
Direct
0.0000 0.0000 0.0000
0.4825 0.7148 0.1059
0.5175 0.2852 0.8941
0.0240 0.3831 0.1873
0.9760 0.6169 0.8127
0.0361 0.1893 0.6004
0.5000 0.5000 0.5000
0.9639 0.8107 0.3996
0.1968 0.0423 0.1651
0.2144 0.8213 0.5604
0.2157 0.6033 0.9762
0.2226 0.4610 0.3567
0.2612 0.2952 0.7264
0.7388 0.7048 0.2736
0.7774 0.5390 0.6433
0.7843 0.3967 0.0238
0.7856 0.1787 0.4396
0.8032 0.9577 0.8349
```

---

No. 2
Li2TiV3O8: calculated X-ray diffraction stick pattern (a wavelength of 1.5418 Å), based on a DFT-relaxed cell (GGA+U, Alexandria).
Intensities are scaled so that the largest is 100.

Principal peaks in the range 10° ≤ 2θ ≤ 80°, by intensity:
- d 4.879, 18.18 deg, intensity 100
- d 2.107, 42.92 deg, intensity 53
- d 4.926, 18.01 deg, intensity 37
- d 2.140, 42.24 deg, intensity 28
- d 1.495, 62.08 deg, intensity 24
- d 2.543, 35.29 deg, intensity 22
- d 1.507, 61.53 deg, intensity 16
- d 2.572, 34.89 deg, intensity 11
- d 2.537, 35.37 deg, intensity 10
- d 2.556, 35.11 deg, intensity 9

Atomic structure:
```
Li2TiV3O8
1.0
5.1924 -2.9717 0.0000
5.1924 2.9717 0.0000
-3.6137 0.0000 9.8512
Li Ti V O
4 2 6 16
Direct
0.0554 0.5685 0.6866
0.4315 0.9446 0.8134
0.5685 0.0554 0.1866
0.9446 0.4315 0.3134
0.0000 0.5000 0.0000
0.5000 0.0000 0.5000
0.0000 0.0000 0.0000
0.0000 0.0000 0.5000
0.2610 0.7390 0.2500
0.5000 0.5000 0.0000
0.5000 0.5000 0.5000
0.7390 0.2610 0.7500
0.0877 0.1509 0.8815
0.1277 0.6226 0.8927
0.1509 0.0877 0.3815
0.1617 0.6259 0.3878
0.3590 0.3971 0.1145
0.3741 0.8383 0.1122
0.3774 0.8723 0.6073
0.3971 0.3590 0.6145
0.6029 0.6410 0.3855
0.6226 0.1277 0.3927
0.6259 0.1617 0.8878
0.6410 0.6029 0.8855
0.8383 0.3741 0.6122
0.8491 0.9123 0.6185
0.8723 0.3774 0.1073
0.9123 0.8491 0.1185
```

---

Repeat the first record exactly.
Li3Ti2V3O10: calculated X-ray diffraction stick pattern (a wavelength of 1.5418 Å), based on a DFT-relaxed cell (GGA+U, Alexandria).
Intensities are scaled so that the largest is 100.

Principal peaks in the range 10° ≤ 2θ ≤ 80°, by intensity:
- d 4.899, 18.11 deg, intensity 100
- d 7.297, 12.13 deg, intensity 68
- d 2.252, 40.03 deg, intensity 65
- d 2.075, 43.61 deg, intensity 53
- d 2.053, 44.11 deg, intensity 50
- d 3.330, 26.77 deg, intensity 40
- d 4.950, 17.92 deg, intensity 39
- d 1.500, 61.84 deg, intensity 28
- d 2.953, 30.27 deg, intensity 23
- d 4.007, 22.18 deg, intensity 23

Atomic structure:
```
Li3Ti2V3O10
1.0
5.1757 0.0000 0.0000
1.1647 5.0869 0.0000
2.2412 1.7306 7.2967
Li Ti V O
3 2 3 10
Direct
0.0000 0.0000 0.0000
0.4825 0.7148 0.1059
0.5175 0.2852 0.8941
0.0240 0.3831 0.1873
0.9760 0.6169 0.8127
0.0361 0.1893 0.6004
0.5000 0.5000 0.5000
0.9639 0.8107 0.3996
0.1968 0.0423 0.1651
0.2144 0.8213 0.5604
0.2157 0.6033 0.9762
0.2226 0.4610 0.3567
0.2612 0.2952 0.7264
0.7388 0.7048 0.2736
0.7774 0.5390 0.6433
0.7843 0.3967 0.0238
0.7856 0.1787 0.4396
0.8032 0.9577 0.8349
```